Entry 1:
RbBa2Ru: calculated powder XRD pattern (Cu Kα, 1.54184 Å), based on the PBE geometry in Alexandria.

Structural model:
```
RbBa2Ru
1.0
0.000 4.124 4.124
4.124 0.000 4.124
4.124 4.124 0.000
Rb Ba Ru
1 2 1
direct
0.000 0.000 0.000 Rb
0.250 0.250 0.250 Ba
0.750 0.750 0.750 Ba
0.500 0.500 0.500 Ru
```

Principal peaks in the range 5 to 70 degrees two-theta, in order of rising 2θ:
| Position (°2θ) | I_rel |
| --- | --- |
| 21.55 | 3.0 |
| 30.66 | 100.0 |
| 37.78 | 1.0 |
| 43.91 | 18.3 |
| 49.42 | 1.4 |
| 54.50 | 38.4 |
| 63.84 | 11.9 |
| 68.22 | 0.7 |

Entry 2:
NiTe2Pd: calculated powder XRD pattern (Cu Kα, 1.54184 Å), based on the PBE geometry in Alexandria.

Structural model:
```
NiTe2Pd
1.0
-2.744 5.908 2.779
2.744 -5.908 2.779
2.744 5.908 -2.779
Ni Te Pd
2 4 2
direct
0.250 0.250 0.000 Ni
0.750 0.750 0.000 Ni
0.148 0.220 0.368 Te
0.352 0.720 0.073 Te
0.648 0.280 0.927 Te
0.852 0.780 0.632 Te
0.250 0.750 0.500 Pd
0.750 0.250 0.500 Pd
```

Principal peaks in the range 5 to 70 degrees two-theta, in order of rising 2θ:
| Position (°2θ) | I_rel |
| --- | --- |
| 14.99 | 21.7 |
| 27.38 | 100.0 |
| 35.71 | 26.7 |
| 36.09 | 25.0 |
| 44.78 | 34.7 |
| 45.09 | 31.5 |
| 46.09 | 14.1 |
| 46.51 | 34.7 |
| 54.54 | 14.5 |
| 67.56 | 16.2 |